Structure and simulated X-ray powder pattern of Ba2GePbSe4 (a structure optimized by DFT (PBE); a wavelength of 1.5418 Å).

Principal peaks in the range 2θ from 10° to 90°, sorted by position:
| 2θ/deg | Rel. int. |
| --- | --- |
| 24.33 | 13 |
| 28.16 | 100 |
| 40.24 | 63 |
| 40.31 | 12 |
| 47.60 | 8 |
| 49.80 | 14 |
| 49.90 | 13 |
| 58.24 | 12 |
| 65.91 | 28 |
| 66.00 | 5 |
| 73.10 | 13 |
| 73.24 | 11 |

Structure:
Cell lengths 8.949, 8.975, 12.672 Å; angles 90.00, 90.00, 90.00 degrees
Space group Imma (No. 74)
One atom of each set of equivalent atoms:
Ba: 0.000 0.000 0.000 (multiplicity 4)
Ba: 0.250 0.250 0.250 (multiplicity 4)
Ge: 0.000 0.000 0.500 (multiplicity 4)
Pb: 0.250 0.250 0.750 (multiplicity 4)
Se: 0.000 0.009 0.737 (multiplicity 8)
Se: 0.226 0.250 0.505 (multiplicity 8)